Diffraction record for Co3Sn5O12. The powder X-ray diffraction pattern is theoretical, not measured: it uses a structure optimized by DFT (PBE+U) and Cu Kα (λ = 1.5418 Å).
Kinematic intensities with the Lorentz-polarization factor, no thermal factor.

Crystal structure
```
Co3Sn5O12
1.0
-3.8809 3.8809 3.8809
3.8809 -3.8809 3.8809
3.8809 3.8809 -3.8809
Co Sn O
3 5 12
direct
0.0000 0.5000 0.5000
0.5000 0.0000 0.5000
0.5000 0.5000 0.0000
0.0000 0.0000 0.0000
0.0000 0.0000 0.5000
0.0000 0.5000 0.0000
0.5000 0.0000 0.0000
0.5000 0.5000 0.5000
0.1329 0.3104 0.8225
0.1775 0.4880 0.3104
0.1775 0.8671 0.6896
0.3104 0.1775 0.4880
0.3104 0.8225 0.1329
0.4880 0.3104 0.1775
0.5120 0.6896 0.8225
0.6896 0.1775 0.8671
0.6896 0.8225 0.5120
0.8225 0.1329 0.3104
0.8225 0.5120 0.6896
0.8671 0.6896 0.1775
```

Top 10 peaks for 15° ≤ 2θ ≤ 90°, low angle first:
2theta	Rel. int.
22.92	9
32.63	100
36.61	4
43.63	4
46.82	24
52.74	5
58.23	49
68.37	14
77.83	19
86.96	5